# 1
SnH4: computed powder XRD pattern (λ = 1.5418 Å (Cu Kα)), based on a DFT-relaxed cell (PBE, the Materials Project).
Kinematic intensities with the Lorentz-polarization factor, no thermal factor.

Peak list (6 most intense, 15 to 90 degrees two-theta, by angle)
2theta	d [Å]	I/Imax
26.0	3.423	21.9
27.4	3.250	25.1
29.5	3.028	100.0
45.9	1.976	22.3
49.8	1.831	25.4
54.3	1.688	24.6

Structural model:
Cell: 3.9522 3.9522 6.4992 Å, 90.00 90.00 120.00°
Element x y z (fractional)
Sn1 0.3333 0.6667 0.2500
Sn2 0.6667 0.3333 0.7500
H1 0.0000 0.0000 0.0617
H2 0.0000 0.0000 0.4383
H3 0.0000 0.0000 0.5617
H4 0.0000 0.0000 0.9383
H5 0.3333 0.6667 0.5643
H6 0.3333 0.6667 0.9357
H7 0.6667 0.3333 0.0643
H8 0.6667 0.3333 0.4357

=====

# 2
Gd2ZnGa: computed powder XRD pattern (λ = 1.5418 Å (Cu Kα)), based on a DFT-relaxed cell (PBE, the Materials Project).
Kinematic intensities with the Lorentz-polarization factor, no thermal factor.

Peak list (6 most intense, 15 to 90 degrees two-theta, by angle)
2theta	d [Å]	I/Imax
24.6	3.620	16.1
35.1	2.559	100.0
50.4	1.810	17.7
62.9	1.478	36.0
74.1	1.280	11.0
84.7	1.145	15.7

Structural model:
Cell: 5.1189 5.1189 5.1189 Å, 60.00 60.00 60.00°
Element x y z (fractional)
Gd1 0.2500 0.2500 0.2500
Gd2 0.7500 0.7500 0.7500
Zn1 0.0000 0.0000 0.0000
Ga1 0.5000 0.5000 0.5000

=====

# 3
BaZnAsF: computed powder XRD pattern (λ = 1.5418 Å (Cu Kα)), based on a DFT-relaxed cell (PBE, the Materials Project).
Kinematic intensities with the Lorentz-polarization factor, no thermal factor.

Peak list (6 most intense, 15 to 90 degrees two-theta, by angle)
2theta	d [Å]	I/Imax
27.8	3.206	100.0
34.9	2.570	49.3
42.0	2.150	38.5
43.1	2.099	22.5
48.2	1.886	29.2
51.2	1.785	39.3

Structural model:
Cell: 4.2992 4.2992 9.6217 Å, 90.00 90.00 90.00°
Element x y z (fractional)
Ba1 0.2500 0.2500 0.1645
Ba2 0.7500 0.7500 0.8355
Zn1 0.2500 0.7500 0.5000
Zn2 0.7500 0.2500 0.5000
As1 0.2500 0.2500 0.6566
As2 0.7500 0.7500 0.3434
F1 0.2500 0.7500 0.0000
F2 0.7500 0.2500 0.0000

=====

# 4
Sr4HfTi3O12: computed powder XRD pattern (λ = 1.5418 Å (Cu Kα)), based on a DFT-relaxed cell (PBE, the Materials Project).
Kinematic intensities with the Lorentz-polarization factor, no thermal factor.

Peak list (6 most intense, 15 to 90 degrees two-theta, by angle)
2theta	d [Å]	I/Imax
31.7	2.827	100.0
45.2	2.004	12.3
45.4	1.996	23.8
56.3	1.634	13.0
56.4	1.631	25.4
66.1	1.414	14.2

Structural model:
Cell: 8.9241 8.9241 4.0085 Å, 90.00 90.00 126.82°
Element x y z (fractional)
Sr1 0.1143 0.3708 0.0000
Sr2 0.3708 0.1143 0.0000
Sr3 0.6292 0.8857 0.0000
Sr4 0.8857 0.6292 0.0000
Hf1 0.5000 0.5000 0.5000
Ti1 0.0000 0.0000 0.5000
Ti2 0.2494 0.7506 0.5000
Ti3 0.7506 0.2494 0.5000
O1 0.0000 0.0000 0.0000
O2 0.0000 0.5000 0.5000
O3 0.1250 0.8750 0.5000
O4 0.2419 0.2419 0.5000
O5 0.2473 0.7527 0.0000
O6 0.3700 0.6300 0.5000
O7 0.5000 0.0000 0.5000
O8 0.5000 0.5000 0.0000
O9 0.6300 0.3700 0.5000
O10 0.7527 0.2473 0.0000
O11 0.7581 0.7581 0.5000
O12 0.8750 0.1250 0.5000

=====

# 5
SrMg14CdO16: computed powder XRD pattern (λ = 1.5418 Å (Cu Kα)), based on a DFT-relaxed cell (PBE, the Materials Project).
Kinematic intensities with the Lorentz-polarization factor, no thermal factor.

Peak list (6 most intense, 15 to 90 degrees two-theta, by angle)
2theta	d [Å]	I/Imax
35.4	2.534	42.5
40.7	2.219	53.8
41.4	2.182	100.0
59.4	1.556	60.3
59.9	1.543	28.7
75.0	1.267	27.2

Structural model:
Cell: 8.7286 8.7286 4.4378 Å, 90.00 90.00 90.00°
Element x y z (fractional)
Sr1 0.0000 0.0000 0.0000
Mg1 0.0000 0.2595 0.5000
Mg2 0.0000 0.5000 0.0000
Mg3 0.0000 0.7405 0.5000
Mg4 0.2457 0.5000 0.5000
Mg5 0.2532 0.2532 0.0000
Mg6 0.2532 0.7468 0.0000
Mg7 0.2595 0.0000 0.5000
Mg8 0.5000 0.0000 0.0000
Mg9 0.5000 0.2457 0.5000
Mg10 0.5000 0.7543 0.5000
Mg11 0.7405 0.0000 0.5000
Mg12 0.7468 0.2532 0.0000
Mg13 0.7468 0.7468 0.0000
Mg14 0.7543 0.5000 0.5000
Cd1 0.5000 0.5000 0.0000
O1 0.0000 0.0000 0.5000
O2 0.0000 0.2699 0.0000
O3 0.0000 0.5000 0.5000
O4 0.0000 0.7301 0.0000
O5 0.2383 0.5000 0.0000
O6 0.2504 0.2504 0.5000
O7 0.2504 0.7496 0.5000
O8 0.2699 0.0000 0.0000
O9 0.5000 0.0000 0.5000
O10 0.5000 0.2383 0.0000
O11 0.5000 0.5000 0.5000
O12 0.5000 0.7617 0.0000
O13 0.7301 0.0000 0.0000
O14 0.7496 0.2504 0.5000
O15 0.7496 0.7496 0.5000
O16 0.7617 0.5000 0.0000

=====

# 6
Ce4Mg: computed powder XRD pattern (λ = 1.5418 Å (Cu Kα)), based on a DFT-relaxed cell (PBE, the Materials Project).
Kinematic intensities with the Lorentz-polarization factor, no thermal factor.

Peak list (6 most intense, 15 to 90 degrees two-theta, by angle)
2theta	d [Å]	I/Imax
28.2	3.169	100.0
32.6	2.744	33.6
35.6	2.518	43.7
42.8	2.113	78.2
49.8	1.830	28.5
60.2	1.537	30.7

Structural model:
Cell: 7.7624 7.7624 7.7624 Å, 60.00 60.00 60.00°
Element x y z (fractional)
Ce1 0.1487 0.7838 0.7838
Ce2 0.2162 0.2162 0.2162
Ce3 0.2162 0.2162 0.8513
Ce4 0.2162 0.8513 0.2162
Ce5 0.7838 0.1487 0.7838
Ce6 0.7838 0.7838 0.1487
Ce7 0.7838 0.7838 0.7838
Ce8 0.8513 0.2162 0.2162
Mg1 0.3750 0.3750 0.3750
Mg2 0.6250 0.6250 0.6250

=====

# 7
YGeRh2: computed powder XRD pattern (λ = 1.5418 Å (Cu Kα)), based on a DFT-relaxed cell (PBE, the Materials Project).
Kinematic intensities with the Lorentz-polarization factor, no thermal factor.

Peak list (6 most intense, 15 to 90 degrees two-theta, by angle)
2theta	d [Å]	I/Imax
34.1	2.628	34.4
37.5	2.398	57.6
39.6	2.277	100.0
41.0	2.200	47.1
62.1	1.495	25.8
66.8	1.401	33.0

Structural model:
Cell: 5.6053 5.6053 15.6290 Å, 90.00 90.00 120.00°
Element x y z (fractional)
Y1 0.3333 0.6667 0.0379
Y2 0.3333 0.6667 0.2500
Y3 0.3333 0.6667 0.4621
Y4 0.6667 0.3333 0.5379
Y5 0.6667 0.3333 0.7500
Y6 0.6667 0.3333 0.9621
Ge1 0.0000 0.0000 0.0000
Ge2 0.0000 0.0000 0.2500
Ge3 0.0000 0.0000 0.5000
Ge4 0.0000 0.0000 0.7500
Ge5 0.3333 0.6667 0.7500
Ge6 0.6667 0.3333 0.2500
Rh1 0.1679 0.3358 0.6278
Rh2 0.1679 0.3358 0.8722
Rh3 0.1679 0.8321 0.6278
Rh4 0.1679 0.8321 0.8722
Rh5 0.3358 0.1679 0.1278
Rh6 0.3358 0.1679 0.3722
Rh7 0.6642 0.8321 0.6278
Rh8 0.6642 0.8321 0.8722
Rh9 0.8321 0.1679 0.1278
Rh10 0.8321 0.1679 0.3722
Rh11 0.8321 0.6642 0.1278
Rh12 0.8321 0.6642 0.3722

=====

# 8
Ho2CuGe2O8: computed powder XRD pattern (λ = 1.5418 Å (Cu Kα)), based on a DFT-relaxed cell (PBE, the Materials Project).
Kinematic intensities with the Lorentz-polarization factor, no thermal factor.

Peak list (6 most intense, 15 to 90 degrees two-theta, by angle)
2theta	d [Å]	I/Imax
28.3	3.149	100.0
28.7	3.107	95.7
32.4	2.765	88.7
34.6	2.595	96.7
48.1	1.892	50.9
48.6	1.874	49.8

Structural model:
Cell: 8.9151 8.9151 5.1413 Å, 106.36 106.36 114.94°
Element x y z (fractional)
Ho1 0.1200 0.8800 0.0000
Ho2 0.3761 0.6174 0.5072
Ho3 0.6174 0.3761 0.5072
Ho4 0.8800 0.1200 0.0000
Cu1 0.0812 0.4954 0.8088
Cu2 0.4954 0.0812 0.8088
Ge1 0.2574 0.2574 0.8104
Ge2 0.5316 0.9528 0.2679
Ge3 0.7538 0.7538 0.2069
Ge4 0.9528 0.5316 0.2679
O1 0.0746 0.4159 0.1155
O2 0.0826 0.0826 0.8494
O3 0.1576 0.6750 0.6367
O4 0.1688 0.3565 0.6012
O5 0.3243 0.7928 0.2611
O6 0.3565 0.1688 0.6012
O7 0.4159 0.0746 0.1155
O8 0.4244 0.4244 0.1993
O9 0.5816 0.9207 0.9424
O10 0.5835 0.5835 0.8280
O11 0.6629 0.8472 0.4325
O12 0.6750 0.1576 0.6367
O13 0.7928 0.3243 0.2611
O14 0.8472 0.6629 0.4325
O15 0.9207 0.5816 0.9424
O16 0.9287 0.9287 0.1734

=====

Copy entry 6 word for word.
Ce4Mg: computed powder XRD pattern (λ = 1.5418 Å (Cu Kα)), based on a DFT-relaxed cell (PBE, the Materials Project).
Kinematic intensities with the Lorentz-polarization factor, no thermal factor.

Peak list (6 most intense, 15 to 90 degrees two-theta, by angle)
2theta	d [Å]	I/Imax
28.2	3.169	100.0
32.6	2.744	33.6
35.6	2.518	43.7
42.8	2.113	78.2
49.8	1.830	28.5
60.2	1.537	30.7

Structural model:
Cell: 7.7624 7.7624 7.7624 Å, 60.00 60.00 60.00°
Element x y z (fractional)
Ce1 0.1487 0.7838 0.7838
Ce2 0.2162 0.2162 0.2162
Ce3 0.2162 0.2162 0.8513
Ce4 0.2162 0.8513 0.2162
Ce5 0.7838 0.1487 0.7838
Ce6 0.7838 0.7838 0.1487
Ce7 0.7838 0.7838 0.7838
Ce8 0.8513 0.2162 0.2162
Mg1 0.3750 0.3750 0.3750
Mg2 0.6250 0.6250 0.6250

=====

What did the seventh record say?
YGeRh2: computed powder XRD pattern (λ = 1.5418 Å (Cu Kα)), based on a DFT-relaxed cell (PBE, the Materials Project).
Kinematic intensities with the Lorentz-polarization factor, no thermal factor.

Peak list (6 most intense, 15 to 90 degrees two-theta, by angle)
2theta	d [Å]	I/Imax
34.1	2.628	34.4
37.5	2.398	57.6
39.6	2.277	100.0
41.0	2.200	47.1
62.1	1.495	25.8
66.8	1.401	33.0

Structural model:
Cell: 5.6053 5.6053 15.6290 Å, 90.00 90.00 120.00°
Element x y z (fractional)
Y1 0.3333 0.6667 0.0379
Y2 0.3333 0.6667 0.2500
Y3 0.3333 0.6667 0.4621
Y4 0.6667 0.3333 0.5379
Y5 0.6667 0.3333 0.7500
Y6 0.6667 0.3333 0.9621
Ge1 0.0000 0.0000 0.0000
Ge2 0.0000 0.0000 0.2500
Ge3 0.0000 0.0000 0.5000
Ge4 0.0000 0.0000 0.7500
Ge5 0.3333 0.6667 0.7500
Ge6 0.6667 0.3333 0.2500
Rh1 0.1679 0.3358 0.6278
Rh2 0.1679 0.3358 0.8722
Rh3 0.1679 0.8321 0.6278
Rh4 0.1679 0.8321 0.8722
Rh5 0.3358 0.1679 0.1278
Rh6 0.3358 0.1679 0.3722
Rh7 0.6642 0.8321 0.6278
Rh8 0.6642 0.8321 0.8722
Rh9 0.8321 0.1679 0.1278
Rh10 0.8321 0.1679 0.3722
Rh11 0.8321 0.6642 0.1278
Rh12 0.8321 0.6642 0.3722

=====

Number 5 is which compound?
SrMg14CdO16